Simulated XRD peak list
Compound: Sr2InBiO6
Radiation: Cu Kα X-rays
Structure: a structure optimized by DFT (GGA-PBE)
Lines closer than 0.1° are merged.

Unit cell a=5.985 b=5.985 c=5.985 alpha=60.00 beta=60.00 gamma=60.00
Element x y z (fractional)
1 Sr 0.250 0.250 0.250
2 Sr 0.750 0.750 0.750
3 In 0.000 0.000 0.000
4 Bi 0.500 0.500 0.500
5 O 0.252 0.252 0.748
6 O 0.252 0.748 0.252
7 O 0.252 0.748 0.748
8 O 0.748 0.252 0.252
9 O 0.748 0.252 0.748
10 O 0.748 0.748 0.252

Largest 10 diffraction maxima, by intensity, 2θ from 10° to 80°:
d/Å	Position (°2θ)	Rel. int.
2.992	29.86	100
1.728	53.01	41
2.116	42.74	31
1.496	62.03	19
1.338	70.35	18
4.232	20.99	18
1.892	48.08	8
4.886	18.15	8
1.222	78.26	6
2.552	35.17	5